This entry pairs a crystal structure of Co3O2F4 with its calculated powder XRD pattern. Radiation: Cu Kα X-rays. Structure: a structure optimized by DFT (PBE+U).
Kinematic intensities with the Lorentz-polarization factor, no thermal factor.

Top 12 peaks for 2θ = 5–70°, low angle first:
d_spacing, I (rel.), h k l
3.211, 100, 0 1 1
2.595, 34, 3 1 0
2.575, 32, 3 0 1
2.246, 25, 3 1 1
1.714, 31, 3 2 1
1.697, 30, 3 1 2
1.605, 17, 0 2 2
1.572, 11, 6 0 0
1.422, 5, 0 1 3
1.412, 14, 6 1 1
1.377, 9, 3 3 0
1.351, 11, 3 0 3

Crystal structure
a b c (Å): 9.4321 4.5958 4.4872
angles (deg): 90.00 90.00 90.00
Atoms (fractional coordinates):
Co: 0.0000 0.2469 0.0000
Co: 0.1733 0.7118 0.4673
Co: 0.3267 0.2882 0.9673
Co: 0.5000 0.7531 0.5000
Co: 0.6733 0.2882 0.9673
Co: 0.8267 0.7118 0.4673
O: 0.1692 0.4440 0.1656
O: 0.3308 0.5560 0.6656
O: 0.6692 0.5560 0.6656
O: 0.8308 0.4440 0.1656
F: 0.0000 0.5179 0.6629
F: 0.0000 0.9101 0.2833
F: 0.1630 0.0250 0.7654
F: 0.3370 0.9750 0.2654
F: 0.5000 0.0899 0.7833
F: 0.5000 0.4821 0.1629
F: 0.6630 0.9750 0.2654
F: 0.8370 0.0250 0.7654